Calculated XRD peak list of CuPH4O5F for Cu Kα (λ = 1.5418 Å), from the GGA-PBE geometry in Alexandria.

Top 10 peaks for 2θ = 15–90°, sorted by position:
2θ/deg  d (Å)  Rel. int.  (hkl)
16.94  5.233  79.3  1 1 0
23.86  3.730  31.3  0 1 2
25.28  3.523  23.4  2 0 0
27.78  3.212  46.5  2 1 0
28.24  3.160  33.0  2 1 -2
30.30  2.949  63.2  1 2 -2
30.74  2.909  61.6  1 1 2
31.11  2.875  100.0  0 2 2
31.26  2.861  69.4  1 1 -3
40.84  2.210  25.8  2 1 2

Structure:
a b c (Å): 7.6555 7.8170 9.2232
angles (deg): 90.00 113.04 90.00
Space group P2_1/c (No. 14)
Asymmetric unit:
Cu (0.1160, 0.1902, 0.0571) [4 per cell]
P (0.0492, 0.5042, 0.8190) [4 per cell]
H (0.3089, 0.7421, 0.0230) [4 per cell]
H (0.4076, 0.5051, 0.6154) [4 per cell]
H (0.4417, 0.1719, 0.0415) [4 per cell]
H (0.4942, 0.7256, 0.1819) [4 per cell]
O (0.0801, 0.5158, 0.6643) [4 per cell]
O (0.0843, 0.6756, 0.9068) [4 per cell]
O (0.1580, 0.1455, 0.4182) [4 per cell]
O (0.3909, 0.1236, 0.1180) [4 per cell]
O (0.4368, 0.7075, 0.5834) [4 per cell]
F (0.1722, 0.5301, 0.2323) [4 per cell]

Calculated XRD peak list of Ca3AcSi2 for Cu Kα (λ = 1.5418 Å), from the GGA-PBE geometry in Alexandria.

Top 10 peaks for 2θ = 15–90°, sorted by position:
2θ/deg  d (Å)  Rel. int.  (hkl)
18.51  4.794  34.7  1 0 0
20.87  4.256  42.7  1 1 0
22.25  3.996  29.2  0 2 1
24.39  3.650  29.3  0 1 2
29.09  3.069  100.0  1 2 1
29.19  3.059  41.0  1 0 2
30.79  2.904  99.5  1 1 2
31.13  2.873  46.1  0 3 1
36.46  2.465  29.0  1 3 1
37.52  2.397  32.1  2 0 0

Structure:
a b c (Å): 4.7942 9.2454 7.9454
angles (deg): 90.00 90.00 90.00
Space group Pmc2_1 (No. 26)
Asymmetric unit:
Ca (0.0000, 0.0841, 0.0000) [2 per cell]
Ca (0.0000, 0.3105, 0.3788) [2 per cell]
Ca (0.5000, 0.1694, 0.6685) [2 per cell]
Ac (0.5000, 0.4270, 0.0493) [2 per cell]
Si (0.0000, 0.3643, 0.7643) [2 per cell]
Si (0.5000, 0.1403, 0.2790) [2 per cell]

Calculated XRD peak list of Cs3Sn2O4 for Cu Kα (λ = 1.5418 Å), from the GGA-PBE geometry in Alexandria.

Top 10 peaks for 2θ = 15–90°, sorted by position:
2θ/deg  d (Å)  Rel. int.  (hkl)
17.05  5.199  20.1  0 4 0
23.87  3.728  22.1  0 5 1
24.51  3.632  28.9  1 4 1
25.74  3.461  100.0  0 6 0
28.04  3.183  40.6  2 0 0
28.52  3.130  36.3  1 3 2
38.40  2.344  17.4  2 6 0
39.76  2.267  20.7  1 7 2
57.75  1.596  16.8  2 11 1
58.98  1.566  18.5  0 11 3

Structure:
a b c (Å): 6.3653 20.7960 8.4082
angles (deg): 90.00 90.00 90.00
Space group Imma (No. 74)
Asymmetric unit:
Cs (0.0000, 0.1122, 0.1010) [8 per cell]
Cs (0.0000, 0.2500, 0.6115) [4 per cell]
Sn (0.0000, 0.0718, 0.6211) [8 per cell]
O (0.0000, 0.1323, 0.4380) [8 per cell]
O (0.2500, 0.1116, 0.7500) [8 per cell]

Calculated XRD peak list of CeTh12In3 for Cu Kα (λ = 1.5418 Å), from the GGA-PBE geometry in Alexandria.

Top 10 peaks for 2θ = 15–90°, sorted by position:
2θ/deg  d (Å)  Rel. int.  (hkl)
31.17  2.869  100.0  1 1 4
35.75  2.512  17.3  0 0 8
36.35  2.472  33.5  2 0 0
51.90  1.762  24.3  2 0 8
52.34  1.748  12.0  2 2 0
61.39  1.510  14.5  1 1 12
62.19  1.493  28.8  3 1 4
65.01  1.435  12.5  2 2 8
84.85  1.143  12.2  3 1 12
85.56  1.135  6.2  3 3 4

Structure:
a b c (Å): 4.9437 4.9437 20.0940
angles (deg): 90.00 90.00 90.00
Space group P4/mmm (No. 123)
Asymmetric unit:
Ce (0.0000, 0.0000, 0.0000) [1 per cell]
Th (0.0000, 0.5000, 0.1285) [4 per cell]
Th (0.0000, 0.5000, 0.3768) [4 per cell]
Th (0.5000, 0.5000, 0.0000) [1 per cell]
Th (0.5000, 0.5000, 0.2506) [2 per cell]
Th (0.5000, 0.5000, 0.5000) [1 per cell]
In (0.0000, 0.0000, 0.2529) [2 per cell]
In (0.0000, 0.0000, 0.5000) [1 per cell]

Calculated XRD peak list of Dy7RuSe5 for Cu Kα (λ = 1.5418 Å), from the GGA-PBE geometry in Alexandria.

Top 10 peaks for 2θ = 15–90°, sorted by position:
2θ/deg  d (Å)  Rel. int.  (hkl)
28.74  3.107  72.0  0 2 7
30.43  2.938  34.0  1 3 1
31.10  2.876  96.3  1 3 2
32.14  2.785  100.0  0 2 8
40.82  2.211  45.6  1 1 9
44.01  2.058  21.9  1 1 10
44.46  2.038  27.5  0 6 5
44.80  2.023  28.6  1 5 5
46.08  1.970  35.3  2 0 0
55.20  1.664  29.6  2 2 7

Structure:
a b c (Å): 3.9399 13.4408 24.5246
angles (deg): 90.00 90.00 90.00
Space group Cmc2_1 (No. 36)
Asymmetric unit:
Dy (0.0000, 0.0440, 0.0000) [4 per cell]
Dy (0.0000, 0.1309, 0.7169) [4 per cell]
Dy (0.0000, 0.1482, 0.2903) [4 per cell]
Dy (0.0000, 0.2850, 0.9334) [4 per cell]
Dy (0.0000, 0.3053, 0.0685) [4 per cell]
Dy (0.0000, 0.3938, 0.6234) [4 per cell]
Dy (0.0000, 0.4235, 0.3631) [4 per cell]
Ru (0.0000, 0.3105, 0.5113) [4 per cell]
Se (0.0000, 0.0476, 0.6104) [4 per cell]
Se (0.0000, 0.0655, 0.3961) [4 per cell]
Se (0.0000, 0.2123, 0.8237) [4 per cell]
Se (0.0000, 0.2292, 0.1802) [4 per cell]
Se (0.0000, 0.4886, 0.7499) [4 per cell]

Calculated XRD peak list of Ce5Sm5Ru6 for Cu Kα (λ = 1.5418 Å), from the GGA-PBE geometry in Alexandria.

Top 10 peaks for 2θ = 15–90°, sorted by position:
2θ/deg  d (Å)  Rel. int.  (hkl)
28.41  3.141  36.3  2 0 0
31.29  2.858  53.4  0 5 1
34.47  2.602  82.7  1 5 1
35.40  2.536  100.0  2 3 1
35.54  2.526  45.8  1 4 2
36.44  2.466  53.4  2 0 2
37.25  2.414  65.4  1 1 3
38.23  2.354  40.2  0 3 3
54.29  1.690  37.8  3 5 1
56.28  1.635  34.9  2 8 0

Structure:
a b c (Å): 6.2826 15.3135 7.9606
angles (deg): 90.00 90.00 90.00
Space group Amm2 (No. 38)
Asymmetric unit:
Ce (0.0000, 0.0000, 0.0000) [2 per cell]
Ce (0.2511, 0.1749, 0.7783) [8 per cell]
Sm (0.0000, 0.1188, 0.4010) [4 per cell]
Sm (0.5000, 0.0000, 0.5450) [2 per cell]
Sm (0.5000, 0.1171, 0.1575) [4 per cell]
Ru (0.0000, 0.0000, 0.6975) [2 per cell]
Ru (0.0000, 0.1947, 0.0460) [4 per cell]
Ru (0.5000, 0.0000, 0.8868) [2 per cell]
Ru (0.5000, 0.1984, 0.5137) [4 per cell]

Calculated XRD peak list of K2RbUO4 for Cu Kα (λ = 1.5418 Å), from the GGA-PBE geometry in Alexandria.

Top 10 peaks for 2θ = 15–90°, sorted by position:
2θ/deg  d (Å)  Rel. int.  (hkl)
17.53  5.060  28.4  2 0 -1
27.45  3.249  51.9  2 0 -2
28.22  3.162  42.1  1 1 -1
29.01  3.078  42.5  4 0 0
29.47  3.031  85.5  1 1 1
32.28  2.773  49.3  2 0 2
34.02  2.635  100.0  3 1 -1
46.59  1.949  31.1  1 1 -3
48.59  1.874  31.6  5 1 1
55.82  1.647  33.6  3 1 3

Structure:
a b c (Å): 12.5291 3.6194 6.9408
angles (deg): 90.00 100.67 90.00
Space group C2/m (No. 12)
Asymmetric unit:
K (0.2489, 0.0000, 0.2675) [4 per cell]
Rb (0.0000, 0.5000, 0.0000) [2 per cell]
U (0.0000, 0.0000, 0.5000) [2 per cell]
O (0.0930, 0.5000, 0.4102) [4 per cell]
O (0.1009, 0.0000, 0.7659) [4 per cell]